Record 1
Structure and theoretical powder diffraction line list of Sr2UFeO6 (a DFT-relaxed cell (PBE+U, the Materials Project); Cu Ka).
Intensities are scaled so that the largest is 100.

Cell and atoms:
Lattice parameters (Å, degrees): 5.8990 5.9798 10.0713 90.00 125.61 90.00
Space group P2_1/c (No. 14)
Inequivalent atoms, fractional coordinates:
Sr  0.2395  0.0414  0.2487 [4 per cell]
U  0.5000  0.0000  0.0000 [2 per cell]
Fe  0.0000  0.0000  0.5000 [2 per cell]
O  0.1768  0.2029  0.9569 [4 per cell]
O  0.2528  0.7205  0.9552 [4 per cell]
O  0.3328  0.0232  0.7487 [4 per cell]

Largest 8 diffraction maxima, in order of falling intensity, 2θ from 10° to 90°:
(hkl), 2θ (°), Rel. int.
1 1 -3, 30.5, 100
2 2 -2, 43.1, 27
0 1 1, 18.4, 27
1 0 -2, 18.5, 25
0 2 0, 29.9, 25
2 0 -2, 30.3, 25
1 3 1, 53.4, 18
0 0 4, 44.2, 14

---

Record 2
Structure and theoretical powder diffraction line list of Sr2FeWO6 (a DFT-relaxed cell (PBE+U, the Materials Project); Cu Ka).
Intensities are scaled so that the largest is 100.

Cell and atoms:
Lattice parameters (Å, degrees): 8.0357 8.0357 8.0357 90.00 90.00 90.00
Space group Fm-3m (No. 225)
Inequivalent atoms, fractional coordinates:
Sr  0.2500  0.2500  0.2500 [8 per cell]
Fe  0.0000  0.0000  0.0000 [4 per cell]
W  0.0000  0.0000  0.5000 [4 per cell]
O  0.0000  0.0000  0.2552 [24 per cell]

Largest 8 diffraction maxima, in order of falling intensity, 2θ from 10° to 90°:
(hkl), 2θ (°), Rel. int.
2 2 0, 31.5, 100
4 2 2, 56.1, 40
4 0 0, 45.1, 32
1 1 1, 19.1, 23
4 4 0, 65.7, 20
6 2 0, 74.7, 17
3 1 1, 37.1, 13
2 0 0, 22.1, 8

---

Record 3
Structure and theoretical powder diffraction line list of Sr2FeWO6 (a DFT-relaxed cell (PBE+U, the Materials Project); Cu Ka).
Intensities are scaled so that the largest is 100.

Cell and atoms:
Lattice parameters (Å, degrees): 5.6632 5.7467 9.8534 88.96 73.31 60.49
Space group P-1 (No. 2)
Inequivalent atoms, fractional coordinates:
Sr  0.2495  0.1281  0.3764 [2 per cell]
Sr  0.2509  0.6221  0.8732 [2 per cell]
Fe  0.5000  0.0000  0.0000 [1 per cell]
Fe  0.5000  0.5000  0.5000 [1 per cell]
W  0.0034  0.7530  0.2487 [2 per cell]
O  0.1812  0.1062  0.8955 [2 per cell]
O  0.1975  0.6081  0.3938 [2 per cell]
O  0.2305  0.8910  0.6333 [2 per cell]
O  0.2447  0.3971  0.1314 [2 per cell]
O  0.2816  0.3404  0.6547 [2 per cell]
O  0.2945  0.8498  0.1549 [2 per cell]

Largest 8 diffraction maxima, in order of falling intensity, 2θ from 10° to 90°:
(hkl), 2θ (°), Rel. int.
1 2 0, 31.1, 100
2 1 1, 31.6, 53
1 0 6, 56.0, 42
0 0 2, 19.0, 38
2 0 4, 45.3, 29
-2 1 1, 55.1, 22
0 2 2, 43.9, 18
2 -2 2, 64.9, 14

---

Record 4
Structure and theoretical powder diffraction line list of Sr2FeWO6 (a DFT-relaxed cell (PBE+U, the Materials Project); Cu Ka).
Intensities are scaled so that the largest is 100.

Cell and atoms:
Lattice parameters (Å, degrees): 5.7427 5.7588 8.0105 90.17 90.16 90.11
Space group P-1 (No. 2)
Inequivalent atoms, fractional coordinates:
Sr  0.0270  0.4960  0.2477 [2 per cell]
Sr  0.4717  0.9952  0.7496 [2 per cell]
Fe  0.0000  0.0000  0.5000 [1 per cell]
Fe  0.5000  0.5000  0.0000 [1 per cell]
W  0.0000  0.0000  0.0000 [1 per cell]
W  0.5000  0.5000  0.5000 [1 per cell]
O  0.0087  0.0641  0.7604 [2 per cell]
O  0.2078  0.7353  0.9660 [2 per cell]
O  0.2327  0.7047  0.5329 [2 per cell]
O  0.2680  0.2049  0.0338 [2 per cell]
O  0.2907  0.2354  0.4659 [2 per cell]
O  0.4908  0.5633  0.2595 [2 per cell]

Largest 8 diffraction maxima, in order of falling intensity, 2θ from 10° to 90°:
(hkl), 2θ (°), Rel. int.
1 -1 2, 31.3, 100
0 2 0, 31.1, 67
0 1 -1, 19.0, 51
2 -2 0, 44.6, 39
1 1 2, 31.4, 33
1 3 2, 55.5, 26
-1 3 2, 55.4, 22
0 0 4, 45.3, 19

---

Record 5
Structure and theoretical powder diffraction line list of Sr2FeWO6 (a DFT-relaxed cell (PBE+U, the Materials Project); Cu Ka).
Intensities are scaled so that the largest is 100.

Cell and atoms:
Lattice parameters (Å, degrees): 5.6647 5.6748 5.7164 119.09 119.02 91.16
Space group P-1 (No. 2)
Inequivalent atoms, fractional coordinates:
Sr  0.2501  0.2500  0.0003 [2 per cell]
Fe  0.0000  0.5000  0.5000 [1 per cell]
W  0.5000  0.0000  0.5000 [1 per cell]
O  0.2106  0.8044  0.4994 [2 per cell]
O  0.2629  0.7638  0.0256 [2 per cell]
O  0.3110  0.2831  0.5009 [2 per cell]

Largest 8 diffraction maxima, in order of falling intensity, 2θ from 10° to 90°:
(hkl), 2θ (°), Rel. int.
2 0 -1, 31.6, 100
1 -1 1, 31.0, 96
1 1 0, 31.3, 93
1 0 0, 19.0, 72
2 0 1, 55.1, 41
1 -3 2, 55.6, 41
3 1 -1, 56.3, 39
0 0 2, 44.0, 33

---

Record 6
Structure and theoretical powder diffraction line list of Sr2FeWO6 (a DFT-relaxed cell (PBE+U, the Materials Project); Cu Ka).
Intensities are scaled so that the largest is 100.

Cell and atoms:
Lattice parameters (Å, degrees): 5.6772 5.6944 9.8450 73.86 73.74 60.49
Space group P1 (No. 1)
Inequivalent atoms, fractional coordinates:
Sr  0.0000  0.0000  0.0000 [1 per cell]
Sr  0.2435  0.2555  0.2397 [1 per cell]
Sr  0.5015  0.5049  0.4834 [1 per cell]
Sr  0.7472  0.7606  0.7458 [1 per cell]
Fe  0.3714  0.3801  0.8707 [1 per cell]
Fe  0.8740  0.8796  0.3661 [1 per cell]
W  0.1218  0.1334  0.6197 [1 per cell]
W  0.6237  0.6276  0.1158 [1 per cell]
O  0.0240  0.5258  0.0087 [1 per cell]
O  0.0677  0.9770  0.4882 [1 per cell]
O  0.1811  0.2909  0.7555 [1 per cell]
O  0.2394  0.7164  0.2169 [1 per cell]
O  0.2417  0.7774  0.7487 [1 per cell]
O  0.4961  0.0356  0.5246 [1 per cell]
O  0.4978  0.0046  0.9828 [1 per cell]
O  0.5704  0.4805  0.9722 [1 per cell]
O  0.6770  0.7797  0.2502 [1 per cell]
O  0.7349  0.2435  0.7189 [1 per cell]
O  0.7537  0.2590  0.2434 [1 per cell]
O  0.9947  0.4889  0.4957 [1 per cell]

Largest 8 diffraction maxima, in order of falling intensity, 2θ from 10° to 90°:
(hkl), 2θ (°), Rel. int.
0 1 3, 31.4, 100
1 1 -2, 31.2, 66
0 1 1, 19.1, 47
2 1 1, 31.5, 35
2 -1 3, 55.7, 35
0 2 -2, 44.7, 22
1 3 4, 56.1, 21
2 0 -2, 44.9, 21

---

Record 7
Structure and theoretical powder diffraction line list of Sr2FeWO6 (a DFT-relaxed cell (PBE+U, the Materials Project); Cu Ka).
Intensities are scaled so that the largest is 100.

Cell and atoms:
Lattice parameters (Å, degrees): 5.6433 5.7356 9.8479 74.72 73.85 60.85
Space group P-1 (No. 2)
Inequivalent atoms, fractional coordinates:
Sr  0.1233  0.1271  0.1211 [2 per cell]
Sr  0.3725  0.3760  0.3717 [2 per cell]
Fe  0.0000  0.0000  0.5000 [1 per cell]
Fe  0.5000  0.5000  0.0000 [1 per cell]
W  0.2583  0.2492  0.7486 [2 per cell]
O  0.1194  0.6608  0.1539 [2 per cell]
O  0.1418  0.6036  0.6296 [2 per cell]
O  0.2100  0.1059  0.6049 [2 per cell]
O  0.3036  0.3996  0.8924 [2 per cell]
O  0.3574  0.8468  0.3418 [2 per cell]
O  0.3811  0.8944  0.8684 [2 per cell]

Largest 8 diffraction maxima, in order of falling intensity, 2θ from 10° to 90°:
(hkl), 2θ (°), Rel. int.
1 1 -2, 31.1, 100
1 2 1, 31.2, 98
1 1 0, 19.0, 75
0 1 3, 31.5, 53
2 1 1, 31.7, 52
1 3 4, 56.0, 44
0 2 -2, 43.9, 35
2 0 -2, 45.1, 29

---

Record 8
Structure and theoretical powder diffraction line list of Sr2FeWO6 (a DFT-relaxed cell (PBE+U, the Materials Project); Cu Ka).
Intensities are scaled so that the largest is 100.

Cell and atoms:
Lattice parameters (Å, degrees): 5.7074 5.7077 8.0289 89.98 90.00 89.03
Space group P-1 (No. 2)
Inequivalent atoms, fractional coordinates:
Sr  0.0003  0.0010  0.2588 [2 per cell]
Sr  0.4986  0.4994  0.2583 [2 per cell]
Fe  0.0000  0.5000  0.0000 [1 per cell]
Fe  0.5000  0.0000  0.5000 [1 per cell]
W  0.0000  0.5000  0.5000 [1 per cell]
W  0.5000  0.0000  0.0000 [1 per cell]
O  0.0405  0.4592  0.2457 [2 per cell]
O  0.2390  0.2640  0.5393 [2 per cell]
O  0.2473  0.7506  0.4997 [2 per cell]
O  0.2561  0.2427  0.9558 [2 per cell]
O  0.2589  0.7574  0.0002 [2 per cell]
O  0.4560  0.0442  0.2351 [2 per cell]

Largest 8 diffraction maxima, in order of falling intensity, 2θ from 10° to 90°:
(hkl), 2θ (°), Rel. int.
2 0 0, 31.3, 100
-1 1 2, 31.6, 53
1 0 1, 19.1, 36
1 3 2, 55.6, 21
3 -1 2, 56.1, 21
0 2 4, 56.0, 21
2 2 0, 44.5, 17
2 -2 0, 45.3, 15